1.
# KNdGeSe4
Theoretical powder X-ray diffraction pattern, Cu Kα (weighted mean of Kα1 and Kα2). Input: a DFT-relaxed cell (GGA-PBE, OQMD).
Lines closer than 0.1° are merged.

The 10 most intense peaks (2θ from 15° to 90°), in order of rising 2θ:
- 16.13 deg, I 50
- 25.14 deg, I 31
- 27.72 deg, I 35
- 28.58 deg, I 100
- 30.51 deg, I 72
- 31.29 deg, I 60
- 32.59 deg, I 33
- 32.84 deg, I 40
- 37.21 deg, I 46
- 39.51 deg, I 57

```
data_KNdGeSe4
_cell_length_a 6.9326
_cell_length_b 7.0833
_cell_length_c 9.1327
_cell_angle_alpha 90.00
_cell_angle_beta 107.52
_cell_angle_gamma 90.00
_symmetry_space_group_name_H-M 'P 1'
_symmetry_Int_Tables_number 1
loop_
_symmetry_equiv_pos_as_xyz
'x,y,z'
loop_
_atom_site_label
_atom_site_type_symbol
_atom_site_fract_x
_atom_site_fract_y
_atom_site_fract_z
_atom_site_occupancy
K1 K 0.2383 0.0000 0.4357 1
K2 K 0.7617 0.5000 0.5643 1
Nd1 Nd 0.2716 0.9870 0.9483 1
Nd2 Nd 0.7284 0.4870 0.0517 1
Ge1 Ge 0.2784 0.5196 0.1790 1
Ge2 Ge 0.7216 0.0196 0.8210 1
Se1 Se 0.0733 0.5843 0.9231 1
Se2 Se 0.0747 0.5240 0.3435 1
Se3 Se 0.4681 0.2610 0.7713 1
Se4 Se 0.4864 0.2439 0.2130 1
Se5 Se 0.5136 0.7439 0.7870 1
Se6 Se 0.5319 0.7610 0.2287 1
Se7 Se 0.9253 0.0240 0.6565 1
Se8 Se 0.9267 0.0843 0.0769 1
```

---

2.
# K2Tm2Ge2O7
Theoretical powder X-ray diffraction pattern, Cu Kα (weighted mean of Kα1 and Kα2). Input: a DFT-relaxed cell (GGA-PBE, OQMD).
Lines closer than 0.1° are merged.

The 10 most intense peaks (2θ from 15° to 90°), in order of rising 2θ:
- 20.91 deg, I 88
- 22.55 deg, I 22
- 28.74 deg, I 89
- 30.72 deg, I 100
- 42.57 deg, I 39
- 46.55 deg, I 31
- 49.20 deg, I 19
- 49.65 deg, I 19
- 53.41 deg, I 31
- 54.62 deg, I 21

```
data_K2Tm2Ge2O7
_cell_length_a 5.8208
_cell_length_b 5.8208
_cell_length_c 7.8869
_cell_angle_alpha 90.00
_cell_angle_beta 90.00
_cell_angle_gamma 120.00
_symmetry_space_group_name_H-M 'P 1'
_symmetry_Int_Tables_number 1
loop_
_symmetry_equiv_pos_as_xyz
'x,y,z'
loop_
_atom_site_label
_atom_site_type_symbol
_atom_site_fract_x
_atom_site_fract_y
_atom_site_fract_z
_atom_site_occupancy
K1 K 0.3333 0.6667 0.4062 1
K2 K 0.6667 0.3333 0.5938 1
Tm1 Tm 0.3333 0.6667 0.8456 1
Tm2 Tm 0.6667 0.3333 0.1544 1
Ge1 Ge 0.0000 0.0000 0.2286 1
Ge2 Ge 0.0000 0.0000 0.7714 1
O1 O 0.0000 0.0000 0.0000 1
O2 O 0.1222 0.7958 0.7007 1
O3 O 0.2042 0.3264 0.7007 1
O4 O 0.3264 0.1222 0.2993 1
O5 O 0.6736 0.8778 0.7007 1
O6 O 0.7958 0.6736 0.2993 1
O7 O 0.8778 0.2042 0.2993 1
```

---

3.
# K4Ge2Pd7
Theoretical powder X-ray diffraction pattern, Cu Kα (weighted mean of Kα1 and Kα2). Input: a DFT-relaxed cell (GGA-PBE, OQMD).
Lines closer than 0.1° are merged.

The 10 most intense peaks (2θ from 15° to 90°), in order of rising 2θ:
- 17.60 deg, I 49
- 18.35 deg, I 100
- 29.41 deg, I 32
- 35.29 deg, I 60
- 35.68 deg, I 53
- 37.20 deg, I 98
- 42.75 deg, I 39
- 47.52 deg, I 21
- 48.70 deg, I 21
- 63.12 deg, I 30

```
data_K4Ge2Pd7
_cell_length_a 10.6358
_cell_length_b 10.6358
_cell_length_c 10.6358
_cell_angle_alpha 32.16
_cell_angle_beta 32.16
_cell_angle_gamma 32.16
_symmetry_space_group_name_H-M 'P 1'
_symmetry_Int_Tables_number 1
loop_
_symmetry_equiv_pos_as_xyz
'x,y,z'
loop_
_atom_site_label
_atom_site_type_symbol
_atom_site_fract_x
_atom_site_fract_y
_atom_site_fract_z
_atom_site_occupancy
K1 K 0.1863 0.1863 0.1863 1
K2 K 0.3107 0.3107 0.3107 1
K3 K 0.6893 0.6893 0.6893 1
K4 K 0.8137 0.8137 0.8137 1
Ge1 Ge 0.0403 0.0403 0.0403 1
Ge2 Ge 0.9597 0.9597 0.9597 1
Pd1 Pd 0.2661 0.7303 0.7303 1
Pd2 Pd 0.2697 0.2697 0.7339 1
Pd3 Pd 0.2697 0.7339 0.2697 1
Pd4 Pd 0.5000 0.5000 0.5000 1
Pd5 Pd 0.7303 0.2661 0.7303 1
Pd6 Pd 0.7303 0.7303 0.2661 1
Pd7 Pd 0.7339 0.2697 0.2697 1
```

---

4.
# KGe5Pt3
Theoretical powder X-ray diffraction pattern, Cu Kα (weighted mean of Kα1 and Kα2). Input: a DFT-relaxed cell (GGA-PBE, OQMD).
Lines closer than 0.1° are merged.

The 10 most intense peaks (2θ from 15° to 90°), in order of rising 2θ:
- 18.57 deg, I 35
- 23.26 deg, I 22
- 35.21 deg, I 28
- 37.66 deg, I 34
- 39.52 deg, I 84
- 40.32 deg, I 25
- 44.73 deg, I 100
- 52.50 deg, I 26
- 62.20 deg, I 18
- 67.97 deg, I 20

```
data_KGe5Pt3
_cell_length_a 5.5165
_cell_length_b 5.5165
_cell_length_c 7.6470
_cell_angle_alpha 90.00
_cell_angle_beta 90.00
_cell_angle_gamma 120.00
_symmetry_space_group_name_H-M 'P 1'
_symmetry_Int_Tables_number 1
loop_
_symmetry_equiv_pos_as_xyz
'x,y,z'
loop_
_atom_site_label
_atom_site_type_symbol
_atom_site_fract_x
_atom_site_fract_y
_atom_site_fract_z
_atom_site_occupancy
K1 K 0.0000 0.0000 0.0000 1
Ge1 Ge 0.0000 0.0000 0.5000 1
Ge2 Ge 0.3333 0.6667 0.2203 1
Ge3 Ge 0.3333 0.6667 0.7797 1
Ge4 Ge 0.6667 0.3333 0.2203 1
Ge5 Ge 0.6667 0.3333 0.7797 1
Pt1 Pt 0.0000 0.5000 0.5000 1
Pt2 Pt 0.5000 0.0000 0.5000 1
Pt3 Pt 0.5000 0.5000 0.5000 1
```

---

5.
# K2Ge2Pt3S8
Theoretical powder X-ray diffraction pattern, Cu Kα (weighted mean of Kα1 and Kα2). Input: a DFT-relaxed cell (GGA-PBE, OQMD).
Lines closer than 0.1° are merged.

The 10 most intense peaks (2θ from 15° to 90°), in order of rising 2θ:
- 17.79 deg, I 26
- 19.58 deg, I 20
- 22.43 deg, I 18
- 27.71 deg, I 16
- 27.96 deg, I 16
- 29.95 deg, I 100
- 39.77 deg, I 34
- 50.42 deg, I 25
- 50.72 deg, I 25
- 62.23 deg, I 11

```
data_K2Ge2Pt3S8
_cell_length_a 6.0206
_cell_length_b 6.0206
_cell_length_c 9.0694
_cell_angle_alpha 90.38
_cell_angle_beta 90.38
_cell_angle_gamma 82.34
_symmetry_space_group_name_H-M 'P 1'
_symmetry_Int_Tables_number 1
loop_
_symmetry_equiv_pos_as_xyz
'x,y,z'
loop_
_atom_site_label
_atom_site_type_symbol
_atom_site_fract_x
_atom_site_fract_y
_atom_site_fract_z
_atom_site_occupancy
K1 K 0.2462 0.2462 0.2578 1
K2 K 0.7538 0.7538 0.7422 1
Ge1 Ge 0.2419 0.2413 0.7482 1
Ge2 Ge 0.7587 0.7581 0.2518 1
Pt1 Pt 0.2269 0.7731 0.0000 1
Pt2 Pt 0.7501 0.2499 0.0000 1
Pt3 Pt 0.7707 0.2293 0.5000 1
S1 S 0.0764 0.4233 0.5548 1
S2 S 0.0810 0.4254 0.9576 1
S3 S 0.1264 0.7704 0.2495 1
S4 S 0.2296 0.8736 0.7505 1
S5 S 0.5746 0.9190 0.0424 1
S6 S 0.5767 0.9236 0.4452 1
S7 S 0.6233 0.2866 0.7470 1
S8 S 0.7134 0.3767 0.2530 1
```

---

6.
# K3RbZn2Ge2
Theoretical powder X-ray diffraction pattern, Cu Kα (weighted mean of Kα1 and Kα2). Input: a DFT-relaxed cell (GGA-PBE, OQMD).
Lines closer than 0.1° are merged.

The 10 most intense peaks (2θ from 15° to 90°), in order of rising 2θ:
- 16.58 deg, I 72
- 26.78 deg, I 67
- 27.37 deg, I 44
- 27.58 deg, I 56
- 30.94 deg, I 100
- 31.13 deg, I 93
- 31.94 deg, I 41
- 36.72 deg, I 77
- 40.43 deg, I 40
- 52.08 deg, I 48

```
data_K3RbZn2Ge2
_cell_length_a 6.6048
_cell_length_b 6.2561
_cell_length_c 6.6680
_cell_angle_alpha 90.00
_cell_angle_beta 107.35
_cell_angle_gamma 90.00
_symmetry_space_group_name_H-M 'P 1'
_symmetry_Int_Tables_number 1
loop_
_symmetry_equiv_pos_as_xyz
'x,y,z'
loop_
_atom_site_label
_atom_site_type_symbol
_atom_site_fract_x
_atom_site_fract_y
_atom_site_fract_z
_atom_site_occupancy
K1 K 0.0000 0.0000 0.0000 1
K2 K 0.3006 0.5000 0.3044 1
K3 K 0.6433 0.5000 0.9717 1
Rb1 Rb 0.3410 0.0000 0.6628 1
Zn1 Zn 0.8170 0.2502 0.4854 1
Zn2 Zn 0.8170 0.7498 0.4854 1
Ge1 Ge 0.0552 0.5000 0.7254 1
Ge2 Ge 0.5860 0.0000 0.2393 1
```

---

7.
# KRb3Zn2Ge2
Theoretical powder X-ray diffraction pattern, Cu Kα (weighted mean of Kα1 and Kα2). Input: a DFT-relaxed cell (GGA-PBE, OQMD).
Lines closer than 0.1° are merged.

The 10 most intense peaks (2θ from 15° to 90°), in order of rising 2θ:
- 26.47 deg, I 86
- 26.82 deg, I 43
- 26.94 deg, I 50
- 27.75 deg, I 37
- 30.27 deg, I 100
- 30.38 deg, I 95
- 31.12 deg, I 63
- 36.01 deg, I 62
- 50.72 deg, I 44
- 51.23 deg, I 36

```
data_KRb3Zn2Ge2
_cell_length_a 6.7392
_cell_length_b 6.4293
_cell_length_c 6.7760
_cell_angle_alpha 90.00
_cell_angle_beta 108.38
_cell_angle_gamma 90.00
_symmetry_space_group_name_H-M 'P 1'
_symmetry_Int_Tables_number 1
loop_
_symmetry_equiv_pos_as_xyz
'x,y,z'
loop_
_atom_site_label
_atom_site_type_symbol
_atom_site_fract_x
_atom_site_fract_y
_atom_site_fract_z
_atom_site_occupancy
K1 K 0.0000 0.0000 0.0000 1
Rb1 Rb 0.3521 0.5000 0.0220 1
Rb2 Rb 0.6616 0.0000 0.3332 1
Rb3 Rb 0.6928 0.5000 0.6893 1
Zn1 Zn 0.1767 0.2499 0.5072 1
Zn2 Zn 0.1767 0.7501 0.5072 1
Ge1 Ge 0.4023 0.0000 0.7467 1
Ge2 Ge 0.9442 0.5000 0.2751 1
```